Structure and theoretical powder X-ray diffraction pattern of Pr3BWO9 (a crystal structure in Alexandria, relaxed with PBE+U; copper Kα).
Lines closer than 0.1° are merged.

Peak list (8 most intense, 10 to 90 degrees two-theta, sorted by position)
d_spacing  I (rel.)  h k l
3.481  89  1 1 1
3.170  100  2 0 1
2.815  24  0 0 2
2.578  27  2 1 1
2.557  25  3 0 0
2.020  25  1 2 2
1.893  31  3 0 2
1.680  35  3 2 1

Structure:
```
data_Pr3BWO9
_cell_length_a 8.859
_cell_length_b 8.859
_cell_length_c 5.630
_cell_angle_alpha 90.00
_cell_angle_beta 90.00
_cell_angle_gamma 120.00
_symmetry_space_group_name_H-M 'P 1'
_symmetry_Int_Tables_number 1
loop_
_symmetry_equiv_pos_as_xyz
'x,y,z'
loop_
_atom_site_label
_atom_site_type_symbol
_atom_site_fract_x
_atom_site_fract_y
_atom_site_fract_z
Pr1 Pr 0.080 0.724 0.000
Pr2 Pr 0.276 0.356 0.000
Pr3 Pr 0.356 0.080 0.500
Pr4 Pr 0.644 0.920 0.000
Pr5 Pr 0.724 0.644 0.500
Pr6 Pr 0.920 0.276 0.500
B1 B 0.000 0.000 0.164
B2 B 0.000 0.000 0.664
W1 W 0.333 0.667 0.544
W2 W 0.667 0.333 0.044
O1 O 0.047 0.872 0.656
O2 O 0.128 0.174 0.656
O3 O 0.136 0.521 0.766
O4 O 0.174 0.047 0.156
O5 O 0.208 0.467 0.343
O6 O 0.259 0.792 0.343
O7 O 0.384 0.864 0.766
O8 O 0.467 0.259 0.843
O9 O 0.479 0.616 0.766
O10 O 0.521 0.384 0.266
O11 O 0.533 0.741 0.343
O12 O 0.616 0.136 0.266
O13 O 0.741 0.208 0.843
O14 O 0.792 0.533 0.843
O15 O 0.826 0.953 0.656
O16 O 0.864 0.479 0.266
O17 O 0.872 0.826 0.156
O18 O 0.953 0.128 0.156
```